BaLi2P2O7: theoretical XRD peak list (Cu Kα), based on a DFT-relaxed cell (GGA-PBE, the Materials Project).
Lines closer than 0.1° are merged.

Structure:
Lattice parameters (Å, degrees): 7.224 12.350 13.996 90.00 90.66 90.00
Space group C2/c (No. 15)
Asymmetric unit:
Ba: 0.186 0.026 0.121 [8 per cell]
Li: 0.000 0.233 0.250 [4 per cell]
Li: 0.000 0.234 0.750 [4 per cell]
Li: 0.035 0.234 0.509 [8 per cell]
P: 0.181 0.395 0.619 [8 per cell]
P: 0.220 0.370 0.135 [8 per cell]
O: 0.007 0.326 0.635 [8 per cell]
O: 0.087 0.277 0.113 [8 per cell]
O: 0.093 0.481 0.122 [8 per cell]
O: 0.123 0.114 0.937 [8 per cell]
O: 0.172 0.111 0.301 [8 per cell]
O: 0.214 0.133 0.761 [8 per cell]
O: 0.239 0.126 0.480 [8 per cell]

Main lines, in order of rising 2θ (2θ = 10–90°):
| Position (°2θ) | d_spacing | I_rel |
| --- | --- | --- |
| 14.34 | 6.175 | 93.3 |
| 24.65 | 3.612 | 42.0 |
| 25.46 | 3.499 | 75.0 |
| 27.94 | 3.193 | 100.0 |
| 28.08 | 3.177 | 68.5 |
| 28.63 | 3.118 | 34.5 |
| 29.34 | 3.044 | 49.9 |
| 38.88 | 2.316 | 37.3 |


Ba2LiZn2S2O2: theoretical XRD peak list (Cu Kα), based on a DFT-relaxed cell (GGA-PBE, the Materials Project).
Lines closer than 0.1° are merged.

Structure:
Lattice parameters (Å, degrees): 3.993 6.192 7.533 100.30 90.11 90.22
Space group P1 (No. 1)
Asymmetric unit:
Ba: 0.000 0.000 0.000 [1 per cell]
Ba: 0.000 0.404 0.627 [1 per cell]
Li: 0.997 0.850 0.381 [1 per cell]
Zn: 0.494 0.921 0.642 [1 per cell]
Zn: 0.503 0.499 0.997 [1 per cell]
S: 0.005 0.527 0.161 [1 per cell]
S: 0.500 0.061 0.367 [1 per cell]
O: 0.501 0.204 0.827 [1 per cell]
O: 0.506 0.697 0.805 [1 per cell]

Main lines, in order of rising 2θ (2θ = 10–90°):
| Position (°2θ) | d_spacing | I_rel |
| --- | --- | --- |
| 11.94 | 7.412 | 81.4 |
| 24.01 | 3.706 | 38.1 |
| 28.21 | 3.163 | 75.1 |
| 29.32 | 3.046 | 58.0 |
| 29.65 | 3.013 | 43.1 |
| 30.35 | 2.945 | 82.3 |
| 30.49 | 2.932 | 77.9 |
| 34.34 | 2.611 | 100.0 |


Ba2LiZn2S2O2: theoretical XRD peak list (Cu Kα), based on a DFT-relaxed cell (GGA-PBE, the Materials Project).
Lines closer than 0.1° are merged.

Structure:
Lattice parameters (Å, degrees): 4.323 6.435 6.847 93.60 90.72 109.57
Space group P1 (No. 1)
Asymmetric unit:
Ba: 0.000 0.000 0.000 [1 per cell]
Ba: 0.156 0.359 0.519 [1 per cell]
Li: 0.715 0.485 0.230 [1 per cell]
Zn: 0.460 0.962 0.496 [1 per cell]
Zn: 0.707 0.449 0.874 [1 per cell]
S: 0.258 0.553 0.021 [1 per cell]
S: 0.868 0.778 0.495 [1 per cell]
O: 0.557 0.146 0.757 [1 per cell]
O: 0.564 0.192 0.305 [1 per cell]

Main lines, in order of rising 2θ (2θ = 10–90°):
| Position (°2θ) | d_spacing | I_rel |
| --- | --- | --- |
| 26.10 | 3.415 | 95.7 |
| 29.54 | 3.024 | 37.7 |
| 31.49 | 2.841 | 42.2 |
| 32.33 | 2.769 | 49.5 |
| 32.55 | 2.751 | 47.4 |
| 33.64 | 2.664 | 100.0 |
| 33.83 | 2.649 | 65.9 |
| 41.79 | 2.161 | 51.1 |


Ba2LiZn2S2O2: theoretical XRD peak list (Cu Kα), based on a DFT-relaxed cell (GGA-PBE, the Materials Project).
Lines closer than 0.1° are merged.

Structure:
Lattice parameters (Å, degrees): 4.041 6.512 7.213 97.98 106.25 90.06
Space group P1 (No. 1)
Asymmetric unit:
Ba: 0.000 0.000 0.000 [1 per cell]
Ba: 0.289 0.388 0.577 [1 per cell]
Li: 0.147 0.700 0.293 [1 per cell]
Zn: 0.559 0.431 0.116 [1 per cell]
Zn: 0.729 0.972 0.457 [1 per cell]
S: 0.319 0.914 0.636 [1 per cell]
S: 0.969 0.476 0.937 [1 per cell]
O: 0.627 0.181 0.255 [1 per cell]
O: 0.644 0.700 0.285 [1 per cell]

Main lines, in order of rising 2θ (2θ = 10–90°):
| Position (°2θ) | d_spacing | I_rel |
| --- | --- | --- |
| 26.01 | 3.426 | 50.2 |
| 26.34 | 3.383 | 62.8 |
| 27.68 | 3.223 | 100.0 |
| 29.51 | 3.027 | 92.7 |
| 33.91 | 2.643 | 62.3 |
| 38.82 | 2.320 | 39.1 |
| 44.86 | 2.021 | 33.8 |
| 53.53 | 1.712 | 32.6 |


BaLiTbSbO6: theoretical XRD peak list (Cu Kα), based on a DFT-relaxed cell (GGA-PBE, the Materials Project).
Lines closer than 0.1° are merged.

Structure:
Lattice parameters (Å, degrees): 8.443 8.484 8.497 90.00 90.00 90.00
Space group Pnnn (No. 48, origin choice 2)
Asymmetric unit:
Ba: 0.250 0.250 0.250 [2 per cell]
Ba: 0.250 0.250 0.750 [2 per cell]
Li: 0.250 0.750 0.250 [2 per cell]
Li: 0.250 0.750 0.750 [2 per cell]
Tb: 0.000 0.000 0.000 [4 per cell]
Sb: 0.000 0.000 0.500 [4 per cell]
O: 0.007 0.736 0.014 [8 per cell]
O: 0.014 0.514 0.764 [8 per cell]
O: 0.236 0.016 0.489 [8 per cell]

Main lines, in order of rising 2θ (2θ = 10–90°):
| Position (°2θ) | d_spacing | I_rel |
| --- | --- | --- |
| 14.80 | 5.984 | 20.0 |
| 20.92 | 4.245 | 17.4 |
| 29.82 | 2.996 | 100.0 |
| 42.59 | 2.123 | 21.9 |
| 42.85 | 2.111 | 10.8 |
| 52.88 | 1.732 | 27.7 |
| 53.04 | 1.727 | 13.6 |
| 62.01 | 1.497 | 13.3 |


BaLiTbSbO6: theoretical XRD peak list (Cu Kα), based on a DFT-relaxed cell (GGA-PBE, the Materials Project).
Lines closer than 0.1° are merged.

Structure:
Lattice parameters (Å, degrees): 8.472 8.472 8.472 90.00 90.00 90.00
Space group F-43m (No. 216)
Asymmetric unit:
Ba: 0.000 0.000 0.000 [4 per cell]
Li: 0.000 0.000 0.500 [4 per cell]
Tb: 0.250 0.250 0.750 [4 per cell]
Sb: 0.250 0.250 0.250 [4 per cell]
O: 0.014 0.250 0.250 [24 per cell]

Main lines, in order of rising 2θ (2θ = 10–90°):
| Position (°2θ) | d_spacing | I_rel |
| --- | --- | --- |
| 18.14 | 4.891 | 25.5 |
| 20.97 | 4.236 | 26.3 |
| 29.83 | 2.995 | 100.0 |
| 42.69 | 2.118 | 33.1 |
| 52.95 | 1.729 | 40.6 |
| 61.97 | 1.498 | 20.4 |
| 70.28 | 1.339 | 18.2 |
| 85.84 | 1.132 | 21.9 |